Starting from DFT lattice parameters and positions (PBE), the XRD peak list of Mg6BCO8 was calculated for Cu Ka.

Largest 10 diffraction maxima, in order of falling intensity, 2θ = 5–70°:
index  2θ/deg  I_rel
2 0 0  42.69  100.0
2 0 4  62.61  38.8
0 0 4  43.54  33.7
2 2 0  61.96  27.2
1 1 2  36.99  10.6
1 0 4  48.80  8.9
1 0 0  20.97  6.8
1 1 4  53.67  6.2
0 0 1  10.64  6.2
2 1 4  66.81  5.9

a = 4.236 Å, b = 4.236 Å, c = 8.315 Å
α = 90.00°, β = 90.00°, γ = 90.00°
Space group P4/mmm (No. 123)
Unique sites:
Mg 0.000 0.000 0.000 [1 per cell]
Mg 0.000 0.000 0.500 [1 per cell]
Mg 0.000 0.500 0.244 [4 per cell]
B 0.500 0.500 0.000 [1 per cell]
C 0.500 0.500 0.500 [1 per cell]
O 0.000 0.000 0.253 [2 per cell]
O 0.000 0.500 0.000 [2 per cell]
O 0.000 0.500 0.500 [2 per cell]
O 0.500 0.500 0.171 [2 per cell]